# TmNi12P6
Theoretical powder diffractogram, Cu Kα. Input: the GGA-PBE geometry in Alexandria.
No peak broadening, texture or thermal motion is included.

Top 8 peaks for 15 to 90 degrees two-theta, low angle first:
2θ (°)  I/Imax
29.01  152
30.33  244
38.44  1000
43.43  164
46.22  155
50.60  160
53.88  143
57.06  189

Structure:
Cell lengths 6.457, 6.457, 6.457 Å; angles 104.50, 104.50, 104.50 degrees
Positions (direct):
Tm: 0.000 0.000 0.000
Ni: 0.126 0.500 0.874
Ni: 0.126 0.874 0.500
Ni: 0.177 0.443 0.443
Ni: 0.443 0.177 0.443
Ni: 0.443 0.443 0.177
Ni: 0.500 0.126 0.874
Ni: 0.500 0.874 0.126
Ni: 0.557 0.557 0.823
Ni: 0.557 0.823 0.557
Ni: 0.823 0.557 0.557
Ni: 0.874 0.126 0.500
Ni: 0.874 0.500 0.126
P: 0.242 0.242 0.683
P: 0.242 0.683 0.242
P: 0.317 0.758 0.758
P: 0.683 0.242 0.242
P: 0.758 0.317 0.758
P: 0.758 0.758 0.317